(1)
This entry pairs a crystal structure of Hg2SCl with its theoretical X-ray diffraction stick pattern. Radiation: Cu Kα (λ = 1.5418 Å). Structure: a DFT-relaxed cell (PBE, Alexandria).
Neutral-atom scattering factors, no anomalous dispersion.

Main lines, in order of rising 2θ (2θ = 10–80°):
- 13.78 deg, d = 6.425 Å, intensity 100, hkl 1 0 0
- 14.48 deg, d = 6.116 Å, intensity 76, hkl 1 -1 0
- 18.33 deg, d = 4.840 Å, intensity 44, hkl 1 -1 1
- 24.75 deg, d = 3.597 Å, intensity 72, hkl 1 0 -2
- 25.84 deg, d = 3.448 Å, intensity 52, hkl 1 -2 1
- 27.08 deg, d = 3.292 Å, intensity 71, hkl -1 2 1
- 27.23 deg, d = 3.274 Å, intensity 46, hkl 0 2 -1
- 27.66 deg, d = 3.225 Å, intensity 46, hkl 1 0 2
- 29.77 deg, d = 3.001 Å, intensity 64, hkl 0 2 1
- 31.23 deg, d = 2.864 Å, intensity 49, hkl -2 2 1
- 33.60 deg, d = 2.667 Å, intensity 83, hkl 2 0 -2
- 34.64 deg, d = 2.590 Å, intensity 53, hkl 1 2 0

```
data_Hg2SCl
_chemical_formula_sum 'Hg6 S3 Cl3'
_symmetry_space_group_name_H-M 'P 1'
_symmetry_Int_Tables_number 1
_cell_length_a 7.095
_cell_length_b 7.501
_cell_length_c 8.083
_cell_angle_alpha 94.36
_cell_angle_beta 94.54
_cell_angle_gamma 114.17
loop_
_symmetry_equiv_pos_as_xyz
'x,y,z'
loop_
_atom_site_label
_atom_site_type_symbol
_atom_site_fract_x
_atom_site_fract_y
_atom_site_fract_z
_atom_site_occupancy
Hg1 Hg 0.000 0.000 0.000 1
Hg2 Hg 0.009 0.509 0.993 1
Hg3 Hg 0.277 0.923 0.310 1
Hg4 Hg 0.514 0.251 0.691 1
Hg5 Hg 0.876 0.233 0.381 1
Hg6 Hg 0.925 0.693 0.463 1
S1 S 0.133 0.321 0.166 1
S2 S 0.573 0.321 0.415 1
S3 S 0.878 0.692 0.826 1
Cl1 Cl 0.080 0.249 0.676 1
Cl2 Cl 0.509 0.136 0.956 1
Cl3 Cl 0.646 0.845 0.295 1
```

=====

(2)
This entry pairs a crystal structure of Mg2F with its theoretical X-ray diffraction stick pattern. Radiation: Cu Kα (λ = 1.5418 Å). Structure: a DFT-relaxed cell (PBE, Alexandria).
Neutral-atom scattering factors, no anomalous dispersion.

Main lines, in order of rising 2θ (2θ = 10–80°):
- 11.90 deg, d = 7.436 Å, intensity 25, hkl 0 1 0
- 23.93 deg, d = 3.718 Å, intensity 17, hkl 0 2 0
- 30.96 deg, d = 2.889 Å, intensity 100, hkl 0 2 1
- 34.36 deg, d = 2.610 Å, intensity 64, hkl 1 0 1
- 36.48 deg, d = 2.463 Å, intensity 36, hkl 1 1 1
- 37.25 deg, d = 2.414 Å, intensity 35, hkl 1 2 0
- 39.28 deg, d = 2.294 Å, intensity 21, hkl 0 0 2
- 46.49 deg, d = 1.953 Å, intensity 20, hkl 1 3 0
- 50.80 deg, d = 1.797 Å, intensity 26, hkl 1 3 1
- 55.24 deg, d = 1.663 Å, intensity 36, hkl 1 2 2
- 67.32 deg, d = 1.391 Å, intensity 19, hkl 2 2 1
- 68.05 deg, d = 1.378 Å, intensity 18, hkl 1 0 3

```
data_Mg2F
_chemical_formula_sum 'Mg4 F2'
_symmetry_space_group_name_H-M 'P m n 21'
_symmetry_Int_Tables_number 31
_cell_length_a 3.174
_cell_length_b 7.436
_cell_length_c 4.588
_cell_angle_alpha 90.00
_cell_angle_beta 90.00
_cell_angle_gamma 90.00
loop_
_symmetry_equiv_pos_as_xyz
'x,y,z'
'-x+1/2,-y,z+1/2'
'-x,y,z'
'x+1/2,-y,z+1/2'
loop_
_atom_site_label
_atom_site_type_symbol
_atom_site_fract_x
_atom_site_fract_y
_atom_site_fract_z
_atom_site_occupancy
Mg1 Mg 0.000 0.082 0.000 1
Mg2 Mg 0.000 0.664 0.012 1
F1 F 0.000 0.470 0.338 1
```

=====

(3)
This entry pairs a crystal structure of Tb5Zr3N8 with its theoretical X-ray diffraction stick pattern. Radiation: Cu Kα (λ = 1.5418 Å). Structure: a DFT-relaxed cell (PBE, Alexandria).
Neutral-atom scattering factors, no anomalous dispersion.

Main lines, in order of rising 2θ (2θ = 10–80°):
- 15.94 deg, d = 5.561 Å, intensity 8, hkl 0 0 3
- 32.15 deg, d = 2.784 Å, intensity 34, hkl 0 0 6
- 32.34 deg, d = 2.768 Å, intensity 99, hkl 2 0 2
- 37.46 deg, d = 2.401 Å, intensity 100, hkl 0 2 4
- 53.89 deg, d = 1.701 Å, intensity 34, hkl 2 0 8
- 54.14 deg, d = 1.694 Å, intensity 33, hkl 2 2 0
- 64.15 deg, d = 1.452 Å, intensity 15, hkl 0 2 10
- 64.37 deg, d = 1.447 Å, intensity 29, hkl 2 2 6
- 64.49 deg, d = 1.445 Å, intensity 14, hkl 0 4 2
- 67.25 deg, d = 1.392 Å, intensity 6, hkl 0 0 12
- 67.69 deg, d = 1.384 Å, intensity 17, hkl 4 0 4
- 79.91 deg, d = 1.200 Å, intensity 10, hkl 0 4 8

```
data_Tb5Zr3N8
_chemical_formula_sum 'Tb15 Zr9 N24'
_symmetry_space_group_name_H-M 'R -3 m'
_symmetry_Int_Tables_number 166
_symmetry_space_group_name_Hall '-R 3 2"'
_cell_length_a 6.7763
_cell_length_b 6.7763
_cell_length_c 16.7067
_cell_angle_alpha 90.00
_cell_angle_beta 90.00
_cell_angle_gamma 120.00
loop_
_atom_site_label
_atom_site_type_symbol
_atom_site_fract_x
_atom_site_fract_y
_atom_site_fract_z
_atom_site_occupancy
Tb1 Tb 0.0000 0.0000 0.0000 1
Tb2 Tb 0.0000 0.0000 0.5000 1
Tb3 Tb 0.0000 0.5000 0.0000 1
Zr1 Zr 0.0000 0.5000 0.5000 1
N1 N 0.0000 0.0000 0.2437 1
N2 N 0.0099 0.5050 0.7550 1
```